The following is a calculated X-ray diffraction stick pattern of Ba6Nb9CoO30. It was derived from a structure optimized by DFT (PBE+U), using Cu Ka.
Peak positions follow from Bragg's law for the DFT cell and can differ from measured ones.

Main lines, low angle first (2θ = 15–90°):
2θ 25.18, I 34.3
2θ 26.72, I 82.0
2θ 28.86, I 68.9
2θ 29.39, I 39.5
2θ 31.06, I 100.0
2θ 31.36, I 39.6
2θ 41.26, I 16.1
2θ 44.04, I 32.8
2θ 48.18, I 22.7
2θ 50.93, I 20.9
2θ 53.50, I 22.9
2θ 55.64, I 19.3

Atomic structure:
a b c (Å): 12.7560 12.7560 4.1129
angles (deg): 90.00 90.00 90.09
Sites, in units of the cell vectors:
Ba 0.0000 0.5000 0.9805
Ba 0.1729 0.8271 0.0000
Ba 0.3425 0.3425 0.9933
Ba 0.5000 0.0000 0.9805
Ba 0.6575 0.6575 0.9933
Ba 0.8271 0.1729 0.0000
Nb 0.0000 0.0000 0.5592
Nb 0.0761 0.2878 0.4608
Nb 0.2186 0.5738 0.4652
Nb 0.2878 0.0761 0.4608
Nb 0.4262 0.7814 0.4652
Nb 0.5738 0.2186 0.4652
Nb 0.7122 0.9239 0.4608
Nb 0.7814 0.4262 0.4652
Nb 0.9239 0.7122 0.4608
Co 0.5000 0.5000 0.5616
O 0.0000 0.0000 0.0097
O 0.0057 0.8444 0.5050
O 0.0655 0.6421 0.5024
O 0.0791 0.2932 0.0046
O 0.1390 0.4335 0.5031
O 0.1556 0.9943 0.5050
O 0.2063 0.5808 0.0038
O 0.2192 0.2192 0.5052
O 0.2793 0.7207 0.5057
O 0.2932 0.0791 0.0046
O 0.3415 0.4940 0.4970
O 0.3579 0.9345 0.5024
O 0.4192 0.7937 0.0038
O 0.4335 0.1390 0.5031
O 0.4940 0.3415 0.4970
O 0.5000 0.5000 0.9879
O 0.5060 0.6585 0.4970
O 0.5665 0.8610 0.5031
O 0.5808 0.2063 0.0038
O 0.6421 0.0655 0.5024
O 0.6585 0.5060 0.4970
O 0.7068 0.9209 0.0046
O 0.7207 0.2793 0.5057
O 0.7808 0.7808 0.5052
O 0.7937 0.4192 0.0038
O 0.8444 0.0057 0.5050
O 0.8610 0.5665 0.5031
O 0.9209 0.7068 0.0046
O 0.9345 0.3579 0.5024
O 0.9943 0.1556 0.5050

---

The following is a calculated X-ray diffraction stick pattern of Ba3Nb2CoO9. It was derived from a structure optimized by DFT (PBE+U), using Cu Ka.
Peak positions follow from Bragg's law for the DFT cell and can differ from measured ones.

Main lines, low angle first (2θ = 15–90°):
2θ 30.48, I 100.0
2θ 30.55, I 20.0
2θ 43.67, I 38.2
2θ 54.14, I 23.6
2θ 54.25, I 23.6
2θ 63.41, I 11.6
2θ 63.49, I 7.8
2θ 71.99, I 6.8
2θ 72.04, I 10.3
2θ 88.05, I 8.0
2θ 88.17, I 6.3
2θ 88.26, I 6.2

Atomic structure:
a b c (Å): 5.8613 5.8613 7.1914
angles (deg): 90.06 90.06 59.90
Sites, in units of the cell vectors:
Ba 0.0000 0.0000 0.0000
Ba 0.3345 0.3345 0.3342
Ba 0.6655 0.6655 0.6658
Nb 0.3331 0.3331 0.8218
Nb 0.6669 0.6669 0.1782
Co 0.0000 0.0000 0.5000
O 0.0000 0.5000 0.0000
O 0.1711 0.1711 0.6747
O 0.1715 0.6571 0.6742
O 0.3429 0.8285 0.3258
O 0.5000 0.0000 0.0000
O 0.5000 0.5000 0.0000
O 0.6571 0.1715 0.6742
O 0.8285 0.3429 0.3258
O 0.8289 0.8289 0.3253

---

The following is a calculated X-ray diffraction stick pattern of Ba8Nb6CoO24. It was derived from a structure optimized by DFT (PBE+U), using Cu Ka.
Peak positions follow from Bragg's law for the DFT cell and can differ from measured ones.

Main lines, low angle first (2θ = 15–90°):
2θ 25.53, I 9.0
2θ 29.16, I 98.5
2θ 30.44, I 100.0
2θ 42.66, I 54.7
2θ 50.89, I 12.8
2θ 53.30, I 36.0
2θ 54.09, I 19.9
2θ 63.34, I 19.8
2θ 69.20, I 10.3
2θ 71.22, I 15.5
2θ 87.35, I 9.4
2θ 87.99, I 15.8

Atomic structure:
a b c (Å): 5.8733 5.8733 19.1762
angles (deg): 90.00 90.00 120.00
Sites, in units of the cell vectors:
Ba 0.0000 0.0000 0.1852
Ba 0.0000 0.0000 0.8148
Ba 0.3333 0.6667 0.0616
Ba 0.3333 0.6667 0.4557
Ba 0.3333 0.6667 0.6829
Ba 0.6667 0.3333 0.3171
Ba 0.6667 0.3333 0.5443
Ba 0.6667 0.3333 0.9384
Nb 0.0000 0.0000 0.3850
Nb 0.0000 0.0000 0.6150
Nb 0.3333 0.6667 0.2528
Nb 0.3333 0.6667 0.8796
Nb 0.6667 0.3333 0.1204
Nb 0.6667 0.3333 0.7472
Co 0.0000 0.0000 0.0000
O 0.0022 0.5011 0.1863
O 0.1641 0.3282 0.5707
O 0.1641 0.8359 0.5707
O 0.1688 0.3376 0.3068
O 0.1688 0.8312 0.3068
O 0.1716 0.3432 0.9354
O 0.1716 0.8284 0.9354
O 0.3282 0.1641 0.4293
O 0.3376 0.1688 0.6932
O 0.3432 0.1716 0.0646
O 0.4989 0.5011 0.1863
O 0.4989 0.9978 0.1863
O 0.5011 0.0022 0.8137
O 0.5011 0.4989 0.8137
O 0.6568 0.8284 0.9354
O 0.6624 0.8312 0.3068
O 0.6718 0.8359 0.5707
O 0.8284 0.1716 0.0646
O 0.8284 0.6568 0.0646
O 0.8312 0.1688 0.6932
O 0.8312 0.6624 0.6932
O 0.8359 0.1641 0.4293
O 0.8359 0.6718 0.4293
O 0.9978 0.4989 0.8137

---

The following is a calculated X-ray diffraction stick pattern of Ba2NdCo2O6. It was derived from a structure optimized by DFT (PBE+U), using Cu Ka.
Peak positions follow from Bragg's law for the DFT cell and can differ from measured ones.

Main lines, low angle first (2θ = 15–90°):
2θ 17.44, I 14.3
2θ 25.91, I 20.6
2θ 29.19, I 100.0
2θ 29.91, I 89.6
2θ 39.42, I 19.1
2θ 42.28, I 38.1
2θ 51.75, I 20.1
2θ 52.20, I 38.1
2θ 53.55, I 13.0
2θ 54.65, I 17.8
2θ 60.52, I 18.4
2θ 68.97, I 15.9

Atomic structure:
a b c (Å): 6.9862 6.9862 6.9862
angles (deg): 51.95 51.95 51.95
Sites, in units of the cell vectors:
Ba 0.2095 0.2095 0.2095
Ba 0.7905 0.7905 0.7905
Nd 0.0000 0.0000 0.0000
Co 0.4205 0.4205 0.4205
Co 0.5795 0.5795 0.5795
O 0.2372 0.7480 0.7480
O 0.2520 0.2520 0.7628
O 0.2520 0.7628 0.2520
O 0.7480 0.2372 0.7480
O 0.7480 0.7480 0.2372
O 0.7628 0.2520 0.2520